Starting from a DFT-relaxed cell (PBE, Alexandria), the PXRD pattern of La8TbSm3 was simulated for Cu Kα X-rays.
Lines closer than 0.1° are merged.

Principal peaks in the range 10° ≤ 2θ ≤ 90°, low angle first:
| Position (°2θ) | d_spacing | intensity |
| --- | --- | --- |
| 24.85 | 3.583 | 25 |
| 29.59 | 3.019 | 76 |
| 29.76 | 3.002 | 72 |
| 29.92 | 2.986 | 84 |
| 30.24 | 2.955 | 34 |
| 30.41 | 2.940 | 100 |
| 31.45 | 2.844 | 19 |
| 32.92 | 2.721 | 22 |
| 34.10 | 2.629 | 37 |
| 49.33 | 1.847 | 16 |

Structural model:
```
La8TbSm3
1.0
8.006 -4.497 0.000
8.006 4.497 0.000
-2.581 0.000 5.947
La Tb Sm
8 1 3
direct
0.004 0.501 0.647
0.070 0.070 0.312
0.174 0.170 0.909
0.244 0.503 0.364
0.497 0.756 0.636
0.499 0.996 0.353
0.830 0.826 0.091
0.930 0.930 0.688
0.315 0.685 0.000
0.518 0.235 0.892
0.698 0.302 0.500
0.765 0.482 0.108
```